Entry 1:
For ScNi3H, a cell relaxed with PBE gives the computed PXRD pattern in this record (λ = 1.5418 Å (Cu Kα)).
No peak broadening, texture or thermal motion is included.

Structure:
```
data_ScNi3H
_cell_length_a 5.3212
_cell_length_b 5.3212
_cell_length_c 4.3818
_cell_angle_alpha 90.00
_cell_angle_beta 90.00
_cell_angle_gamma 120.00
_symmetry_space_group_name_H-M 'P 3 m 1'
_symmetry_Int_Tables_number 156
loop_
_symmetry_equiv_pos_as_xyz
'x,y,z'
'-y,x-y,z'
'-x+y,-x,z'
'-y,-x,z'
'-x+y,y,z'
'x,x-y,z'
loop_
_atom_site_label
_atom_site_fract_x
_atom_site_fract_y
_atom_site_fract_z
_atom_site_occupancy
Sc1 0.0000 0.0000 0.0000 1
Sc2 0.3333 0.6667 0.4977 1
Ni1 0.3454 0.1727 0.4959 1
Ni2 0.5129 0.0259 0.0043 1
H1 0.3333 0.6667 0.9963 1
H2 0.6667 0.3333 0.7228 1
```

The 6 most intense peaks (2θ = 10–90°), by angle:
| index | 2theta | intensity |
| --- | --- | --- |
| 2 0 0 | 39.09 | 244 |
| 0 0 2 | 41.20 | 287 |
| 2 0 1 | 44.42 | 1000 |
| 0 2 2 | 58.10 | 143 |
| 2 0 3 | 77.35 | 169 |
| 2 2 2 | 85.37 | 164 |

Entry 2:
For LiNd2Tm, a cell relaxed with PBE gives the computed PXRD pattern in this record (λ = 1.5418 Å (Cu Kα)).
No peak broadening, texture or thermal motion is included.

Structure:
```
data_LiNd2Tm
_cell_length_a 7.876
_cell_length_b 7.876
_cell_length_c 7.876
_cell_angle_alpha 90.00
_cell_angle_beta 90.00
_cell_angle_gamma 90.00
_symmetry_space_group_name_H-M 'F m -3 m'
_symmetry_Int_Tables_number 225
_symmetry_space_group_name_Hall '-F 4 2 3'
loop_
_atom_site_label
_atom_site_fract_x
_atom_site_fract_y
_atom_site_fract_z
_atom_site_occupancy
Li1 0.000 0.000 0.000 1
Nd1 0.250 0.250 0.250 1
Tm1 0.000 0.000 0.500 1
```

The 6 most intense peaks (2θ = 10–90°), by angle:
| index | 2theta | intensity |
| --- | --- | --- |
| 1 1 1 | 19.52 | 281 |
| 2 2 0 | 32.15 | 1000 |
| 3 1 1 | 37.89 | 160 |
| 4 0 0 | 46.10 | 184 |
| 4 2 2 | 57.31 | 387 |
| 6 2 0 | 76.50 | 165 |

Entry 3:
For Mg2PdAu3, a cell relaxed with PBE gives the computed PXRD pattern in this record (λ = 1.5418 Å (Cu Kα)).
No peak broadening, texture or thermal motion is included.

Structure:
```
data_Mg2PdAu3
_cell_length_a 5.692
_cell_length_b 13.717
_cell_length_c 5.711
_cell_angle_alpha 90.00
_cell_angle_beta 90.00
_cell_angle_gamma 90.00
_symmetry_space_group_name_H-M 'I b a m'
_symmetry_Int_Tables_number 72
_symmetry_space_group_name_Hall '-I 2 2c'
loop_
_atom_site_label
_atom_site_fract_x
_atom_site_fract_y
_atom_site_fract_z
_atom_site_occupancy
Mg1 0.244 0.151 0.000 1
Pd1 0.000 0.000 0.250 1
Au1 0.000 0.500 0.250 1
Au2 0.244 0.153 0.500 1
```

The 6 most intense peaks (2θ = 10–90°), by angle:
| index | 2theta | intensity |
| --- | --- | --- |
| 1 2 1 | 25.63 | 842 |
| 2 2 0 | 34.06 | 842 |
| 0 6 0 | 39.42 | 324 |
| 0 4 2 | 41.18 | 1000 |
| 2 0 2 | 44.97 | 525 |
| 2 6 2 | 61.31 | 355 |

Entry 4:
For BC2, a cell relaxed with PBE gives the computed PXRD pattern in this record (λ = 1.5418 Å (Cu Kα)).
No peak broadening, texture or thermal motion is included.

Structure:
```
data_BC2
_cell_length_a 2.5489
_cell_length_b 2.5489
_cell_length_c 13.5471
_cell_angle_alpha 90.00
_cell_angle_beta 90.00
_cell_angle_gamma 120.00
_symmetry_space_group_name_H-M 'P 3 m 1'
_symmetry_Int_Tables_number 156
loop_
_symmetry_equiv_pos_as_xyz
'x,y,z'
'-y,x-y,z'
'-x+y,-x,z'
'-y,-x,z'
'-x+y,y,z'
'x,x-y,z'
loop_
_atom_site_label
_atom_site_fract_x
_atom_site_fract_y
_atom_site_fract_z
_atom_site_occupancy
B1 0.0000 0.0000 0.0000 1
B2 0.0000 0.0000 0.1248 1
B3 0.3333 0.6667 0.2068 1
B4 0.3333 0.6667 0.6777 1
C1 0.0000 0.0000 0.5152 1
C2 0.0000 0.0000 0.6260 1
C3 0.3333 0.6667 0.3233 1
C4 0.3333 0.6667 0.7963 1
C5 0.6667 0.3333 0.3619 1
C6 0.6667 0.3333 0.4758 1
C7 0.6667 0.3333 0.8364 1
C8 0.6667 0.3333 0.9466 1
```

The 6 most intense peaks (2θ = 10–90°), by angle:
| index | 2theta | intensity |
| --- | --- | --- |
| 0 0 2 | 13.07 | 244 |
| 0 0 6 | 39.93 | 211 |
| 0 1 2 | 43.10 | 1000 |
| 0 1 8 | 70.03 | 181 |
| 1 1 0 | 74.44 | 244 |
| 1 1 6 | 87.99 | 82 |

Entry 5:
For KPuB12, a cell relaxed with PBE gives the computed PXRD pattern in this record (λ = 1.5418 Å (Cu Kα)).
No peak broadening, texture or thermal motion is included.

Structure:
```
data_KPuB12
_cell_length_a 8.320
_cell_length_b 8.320
_cell_length_c 8.320
_cell_angle_alpha 90.00
_cell_angle_beta 90.00
_cell_angle_gamma 90.00
_symmetry_space_group_name_H-M 'F m -3 m'
_symmetry_Int_Tables_number 225
_symmetry_space_group_name_Hall '-F 4 2 3'
loop_
_atom_site_label
_atom_site_fract_x
_atom_site_fract_y
_atom_site_fract_z
_atom_site_occupancy
K1 0.000 0.000 0.000 1
Pu1 0.000 0.000 0.500 1
B1 0.100 0.250 0.250 1
```

The 6 most intense peaks (2θ = 10–90°), by angle:
| index | 2theta | intensity |
| --- | --- | --- |
| 1 1 1 | 18.47 | 948 |
| 2 0 0 | 21.36 | 615 |
| 2 2 0 | 30.39 | 1000 |
| 3 1 1 | 35.80 | 585 |
| 2 2 2 | 37.45 | 423 |
| 4 2 0 | 48.96 | 498 |